[1]
ZrTlSbO6: calculated PXRD pattern (a wavelength of 1.5418 Å), based on a PBE-relaxed structure.
Intensities are scaled so that the largest is 100.

Top 10 peaks for 2θ = 10–80°, in order of falling intensity:
3.502 Å, 25.44°, intensity 100; 2.748 Å, 32.58°, intensity 84; 1.840 Å, 49.55°, intensity 69; 2.476 Å, 36.28°, intensity 27; 1.477 Å, 62.94°, intensity 21; 1.751 Å, 52.25°, intensity 18; 1.494 Å, 62.13°, intensity 18; 1.566 Å, 58.98°, intensity 16; 4.430 Å, 20.04°, intensity 15; 1.268 Å, 74.87°, intensity 15

Atomic structure:
a = 4.952 Å, b = 4.952 Å, c = 9.912 Å
α = 90.00°, β = 90.00°, γ = 90.00°
Atoms (fractional coordinates):
Zr  0.000  0.000  0.000
Zr  0.500  0.500  0.500
Tl  0.000  0.000  0.329
Tl  0.500  0.500  0.829
Sb  0.000  0.000  0.662
Sb  0.500  0.500  0.162
O  0.178  0.178  0.822
O  0.197  0.197  0.514
O  0.213  0.213  0.150
O  0.287  0.713  0.650
O  0.303  0.697  0.014
O  0.322  0.678  0.322
O  0.678  0.322  0.322
O  0.697  0.303  0.014
O  0.713  0.287  0.650
O  0.787  0.787  0.150
O  0.803  0.803  0.514
O  0.822  0.822  0.822


[2]
Tm2Sb2O7: calculated PXRD pattern (a wavelength of 1.5418 Å), based on a PBE-relaxed structure.
Intensities are scaled so that the largest is 100.

Top 10 peaks for 2θ = 10–80°, in order of falling intensity:
3.093 Å, 28.87°, intensity 100; 1.892 Å, 48.08°, intensity 28; 1.617 Å, 56.94°, intensity 22; 2.683 Å, 33.40°, intensity 22; 1.611 Å, 57.17°, intensity 15; 2.670 Å, 33.57°, intensity 14; 1.897 Å, 47.95°, intensity 13; 1.228 Å, 77.76°, intensity 9; 1.546 Å, 59.80°, intensity 9; 3.787 Å, 23.49°, intensity 7

Atomic structure:
a = 7.570 Å, b = 7.570 Å, c = 7.570 Å
α = 90.28°, β = 119.85°, γ = 119.82°
Atoms (fractional coordinates):
Tm  0.000  0.000  0.000
Tm  0.000  0.500  0.500
Tm  0.045  0.993  0.552
Tm  0.442  0.493  0.448
Sb  0.483  0.988  0.996
Sb  0.534  0.034  0.500
Sb  0.534  0.534  0.000
Sb  0.992  0.488  0.004
O  0.167  0.344  0.082
O  0.167  0.585  0.323
O  0.262  0.085  0.918
O  0.262  0.127  0.370
O  0.262  0.392  0.635
O  0.262  0.844  0.677
O  0.297  0.739  0.059
O  0.680  0.239  0.941
O  0.689  0.145  0.315
O  0.689  0.874  0.043
O  0.757  0.627  0.365
O  0.757  0.892  0.630
O  0.831  0.374  0.685
O  0.831  0.645  0.957


[3]
USb2O6: calculated PXRD pattern (a wavelength of 1.5418 Å), based on a PBE-relaxed structure.
Intensities are scaled so that the largest is 100.

Top 10 peaks for 2θ = 10–80°, in order of falling intensity:
3.211 Å, 27.79°, intensity 100; 2.963 Å, 30.16°, intensity 69; 3.192 Å, 27.95°, intensity 65; 5.219 Å, 16.99°, intensity 58; 3.653 Å, 24.37°, intensity 54; 2.236 Å, 40.33°, intensity 34; 1.902 Å, 47.82°, intensity 31; 2.005 Å, 45.22°, intensity 22; 1.698 Å, 54.00°, intensity 21; 1.541 Å, 60.05°, intensity 20

Atomic structure:
a = 7.123 Å, b = 7.123 Å, c = 5.409 Å
α = 104.59°, β = 104.59°, γ = 32.70°
Atoms (fractional coordinates):
U  0.000  0.000  0.000
Sb  0.310  0.310  0.252
Sb  0.690  0.690  0.748
O  0.089  0.089  0.323
O  0.196  0.196  0.906
O  0.434  0.434  0.125
O  0.566  0.566  0.875
O  0.804  0.804  0.094
O  0.911  0.911  0.677